# 1
HfScB: calculated XRD peak list (a wavelength of 1.5418 Å), based on a crystal structure in Alexandria, relaxed with GGA-PBE.

Structure:
```
HfScB
1.0
5.307 3.064 3.325
-5.307 3.064 3.325
0.000 -6.128 3.325
Hf Sc B
6 6 6
direct
0.185 0.562 0.411
0.411 0.185 0.562
0.438 0.589 0.815
0.562 0.411 0.185
0.589 0.815 0.438
0.815 0.438 0.589
0.053 0.911 0.676
0.089 0.324 0.947
0.324 0.947 0.089
0.676 0.053 0.911
0.911 0.676 0.053
0.947 0.089 0.324
0.129 0.312 0.606
0.312 0.606 0.129
0.394 0.871 0.688
0.606 0.129 0.312
0.688 0.394 0.871
0.871 0.688 0.394
```

Top 12 peaks for 2θ = 5–70°, by angle:
13.10°, I = 72
27.18°, I = 23
29.15°, I = 13
31.38°, I = 100
33.78°, I = 18
36.38°, I = 14
37.37°, I = 24
39.71°, I = 29
43.65°, I = 17
44.74°, I = 23
45.21°, I = 26
66.36°, I = 14



# 2
Hf5SnB2: calculated XRD peak list (a wavelength of 1.5418 Å), based on a crystal structure in Alexandria, relaxed with GGA-PBE.

Structure:
```
Hf5SnB2
1.0
-3.392 3.392 6.205
3.392 -3.392 6.205
3.392 3.392 -6.205
Hf Sn B
10 2 4
direct
0.000 0.000 0.000
0.029 0.529 0.813
0.216 0.029 0.500
0.284 0.784 0.813
0.471 0.284 0.500
0.500 0.500 0.000
0.529 0.716 0.500
0.716 0.216 0.187
0.784 0.971 0.500
0.971 0.471 0.187
0.250 0.250 0.000
0.750 0.750 0.000
0.153 0.347 0.500
0.347 0.847 0.193
0.653 0.153 0.807
0.847 0.653 0.500
```

Top 12 peaks for 2θ = 5–70°, by angle:
28.78°, I = 16
30.33°, I = 100
34.43°, I = 70
36.74°, I = 76
37.50°, I = 18
39.36°, I = 60
42.12°, I = 74
47.32°, I = 30
59.60°, I = 15
60.52°, I = 28
62.40°, I = 31
65.70°, I = 39



# 3
HfTi3B: calculated XRD peak list (a wavelength of 1.5418 Å), based on a crystal structure in Alexandria, relaxed with GGA-PBE.

Structure:
```
HfTi3B
1.0
4.383 0.000 0.000
0.000 4.383 0.000
0.000 0.000 4.383
Hf Ti B
1 3 1
direct
0.000 0.000 0.000
0.000 0.500 0.500
0.500 0.000 0.500
0.500 0.500 0.000
0.500 0.500 0.500
```

Top 9 peaks for 2θ = 5–70°, by angle:
20.26°, I = 42
28.81°, I = 50
35.48°, I = 100
41.19°, I = 54
46.32°, I = 23
51.04°, I = 21
59.67°, I = 35
63.70°, I = 12
67.59°, I = 9



# 4
HfV2B6: calculated XRD peak list (a wavelength of 1.5418 Å), based on a crystal structure in Alexandria, relaxed with GGA-PBE.

Structure:
```
HfV2B6
1.0
5.279 0.000 0.000
-2.640 4.572 0.000
0.000 0.000 3.215
Hf V B
1 2 6
direct
0.000 0.000 0.000
0.333 0.667 0.000
0.667 0.333 0.000
0.000 0.339 0.500
0.000 0.661 0.500
0.339 0.000 0.500
0.339 0.339 0.500
0.661 0.000 0.500
0.661 0.661 0.500
```

Top 12 peaks for 2θ = 5–70°, by angle:
19.42°, I = 71
27.75°, I = 34
33.96°, I = 76
34.09°, I = 38
39.42°, I = 13
44.40°, I = 100
48.89°, I = 14
52.99°, I = 11
57.31°, I = 9
60.81°, I = 37
68.09°, I = 17
68.32°, I = 20



# 5
Hf9BW4: calculated XRD peak list (a wavelength of 1.5418 Å), based on a crystal structure in Alexandria, relaxed with GGA-PBE.

Structure:
```
Hf9BW4
1.0
8.581 0.000 0.000
-4.290 7.431 0.000
0.000 0.000 8.555
Hf B W
18 2 8
direct
0.080 0.540 0.250
0.203 0.406 0.556
0.203 0.406 0.944
0.203 0.797 0.556
0.203 0.797 0.944
0.406 0.203 0.056
0.406 0.203 0.444
0.460 0.540 0.250
0.460 0.920 0.250
0.540 0.080 0.750
0.540 0.460 0.750
0.594 0.797 0.556
0.594 0.797 0.944
0.797 0.203 0.056
0.797 0.203 0.444
0.797 0.594 0.056
0.797 0.594 0.444
0.920 0.460 0.750
0.333 0.667 0.750
0.667 0.333 0.250
0.000 0.000 0.000
0.000 0.000 0.500
0.111 0.223 0.250
0.111 0.889 0.250
0.223 0.111 0.750
0.777 0.889 0.250
0.889 0.111 0.750
0.889 0.777 0.750
```

Top 12 peaks for 2θ = 5–70°, by angle:
11.91°, I = 19
31.88°, I = 34
33.66°, I = 31
36.27°, I = 20
37.81°, I = 75
38.34°, I = 100
39.85°, I = 40
42.13°, I = 21
63.59°, I = 29
65.24°, I = 19
66.41°, I = 31
66.62°, I = 23



# 6
Hf2ZrB6: calculated XRD peak list (a wavelength of 1.5418 Å), based on a crystal structure in Alexandria, relaxed with GGA-PBE.

Structure:
```
Hf2ZrB6
1.0
5.460 0.000 0.000
-2.730 4.729 0.000
0.000 0.000 3.521
Hf Zr B
2 1 6
direct
0.333 0.667 0.000
0.667 0.333 0.000
0.000 0.000 0.000
0.000 0.335 0.500
0.000 0.665 0.500
0.335 0.000 0.500
0.335 0.335 0.500
0.665 0.000 0.500
0.665 0.665 0.500
```

Top 12 peaks for 2θ = 5–70°, by angle:
18.77°, I = 11
25.29°, I = 44
31.68°, I = 7
32.81°, I = 79
41.87°, I = 100
46.25°, I = 2
51.93°, I = 10
57.86°, I = 3
58.56°, I = 20
62.80°, I = 25
64.81°, I = 21
68.77°, I = 10